(1)
Computed powder XRD pattern of TaP4S5Cl5 for Cu Kα X-rays, from the GGA-PBE geometry in OQMD.
Lines closer than 0.1° are merged.

Atomic structure:
Cell lengths 6.9277, 13.3363, 17.9333 Å; angles 90.00, 103.65, 90.00 degrees
Element x y z (fractional)
Ta 0.2274 0.1910 0.0270
Ta 0.2274 0.3090 0.5270
Ta 0.7726 0.6910 0.4730
Ta 0.7726 0.8090 0.9730
P 0.0986 0.5028 0.8077
P 0.0986 0.9972 0.3077
P 0.1935 0.1392 0.6123
P 0.1935 0.3608 0.1123
P 0.2702 0.1748 0.7428
P 0.2702 0.3252 0.2428
P 0.4178 0.5602 0.2056
P 0.4178 0.9398 0.7056
P 0.5822 0.0602 0.2944
P 0.5822 0.4398 0.7944
P 0.7298 0.6748 0.7572
P 0.7298 0.8252 0.2572
P 0.8065 0.6392 0.8877
P 0.8065 0.8608 0.3877
P 0.9014 0.0028 0.6923
P 0.9014 0.4972 0.1923
S 0.0050 0.1233 0.7691
S 0.0050 0.3767 0.2691
S 0.0956 0.5813 0.9114
S 0.0956 0.9187 0.4114
S 0.1265 0.6091 0.2080
S 0.1265 0.8909 0.7080
S 0.3887 0.0229 0.6009
S 0.3887 0.4771 0.1009
S 0.4897 0.0639 0.7823
S 0.4897 0.4361 0.2823
S 0.5103 0.5639 0.7177
S 0.5103 0.9361 0.2177
S 0.6113 0.5229 0.8991
S 0.6113 0.9771 0.3991
S 0.8735 0.1091 0.2920
S 0.8735 0.3909 0.7920
S 0.9044 0.0813 0.5886
S 0.9044 0.4187 0.0886
S 0.9950 0.6233 0.7309
S 0.9950 0.8767 0.2309
Cl 0.0993 0.7268 0.5361
Cl 0.0993 0.7732 0.0361
Cl 0.1068 0.1209 0.1273
Cl 0.1068 0.3791 0.6273
Cl 0.2664 0.0457 0.9666
Cl 0.2664 0.4543 0.4666
Cl 0.3372 0.1975 0.4446
Cl 0.3372 0.3025 0.9446
Cl 0.4565 0.7001 0.3895
Cl 0.4565 0.7999 0.8895
Cl 0.5435 0.2001 0.1105
Cl 0.5435 0.2999 0.6105
Cl 0.6628 0.6975 0.0554
Cl 0.6628 0.8025 0.5554
Cl 0.7336 0.5457 0.5334
Cl 0.7336 0.9543 0.0334
Cl 0.8932 0.6209 0.3727
Cl 0.8932 0.8791 0.8727
Cl 0.9007 0.2268 0.9639
Cl 0.9007 0.2732 0.4639

Most intense lines, 2θ = 10–80°, most intense first:
d_spacing	two_theta	I_rel
6.010	14.7	100.0
5.295	16.7	61.1
5.520	16.1	37.5
8.714	10.2	31.1
5.327	16.6	30.5
4.307	20.6	30.0
4.522	19.6	29.3
7.295	12.1	28.7
4.777	18.6	22.5
2.724	32.9	20.9

***

(2)
Computed powder XRD pattern of TaP4S5Cl5 for Cu Kα X-rays, from the GGA-PBE geometry in OQMD.
Lines closer than 0.1° are merged.

Atomic structure:
Cell lengths 6.5855, 10.2765, 12.9984 Å; angles 97.78, 103.74, 106.37 degrees
Element x y z (fractional)
Ta 0.1096 0.2373 0.3465
Ta 0.8904 0.7627 0.6535
P 0.2653 0.1889 0.9104
P 0.3728 0.6896 0.9948
P 0.4254 0.0756 0.8099
P 0.4651 0.3853 0.7548
P 0.5349 0.6147 0.2452
P 0.5746 0.9244 0.1901
P 0.6272 0.3104 0.0052
P 0.7347 0.8111 0.0896
S 0.1799 0.3199 0.8133
S 0.2886 0.5421 0.0915
S 0.2917 0.8704 0.0570
S 0.3282 0.8705 0.7518
S 0.4830 0.1868 0.6895
S 0.5170 0.8132 0.3105
S 0.6718 0.1295 0.2482
S 0.7083 0.1296 0.9430
S 0.7114 0.4579 0.9085
S 0.8201 0.6801 0.1867
Cl 0.0130 0.2632 0.5076
Cl 0.0240 0.4382 0.3140
Cl 0.1111 0.0127 0.3554
Cl 0.1500 0.2014 0.1688
Cl 0.4814 0.3410 0.4273
Cl 0.5186 0.6590 0.5727
Cl 0.8500 0.7986 0.8312
Cl 0.8889 0.9873 0.6446
Cl 0.9760 0.5618 0.6860
Cl 0.9870 0.7368 0.4924

Most intense lines, 2θ = 10–80°, most intense first:
d_spacing	two_theta	I_rel
5.833	15.2	100.0
5.792	15.3	95.0
4.742	18.7	73.1
4.812	18.4	49.7
2.539	35.3	46.0
2.757	32.5	41.8
4.896	18.1	39.9
6.094	14.5	34.7
8.538	10.4	32.5
2.939	30.4	31.7

***

(3)
Computed powder XRD pattern of TaPCl10 for Cu Kα X-rays, from the GGA-PBE geometry in OQMD.
Lines closer than 0.1° are merged.

Atomic structure:
Cell lengths 6.9636, 7.1522, 13.5545 Å; angles 90.35, 91.03, 105.09 degrees
Element x y z (fractional)
Ta 0.0000 0.0000 0.0000
Ta 0.0000 0.0000 0.5000
P 0.3836 0.5902 0.2621
P 0.6164 0.4098 0.7379
Cl 0.0910 0.0048 0.1684
Cl 0.1106 0.2815 0.6019
Cl 0.1271 0.5164 0.1919
Cl 0.1299 0.8164 0.6161
Cl 0.2342 0.3027 0.9783
Cl 0.2459 0.8358 0.9590
Cl 0.3081 0.0784 0.4201
Cl 0.3426 0.5873 0.4043
Cl 0.4645 0.5939 0.7737
Cl 0.4718 0.1531 0.7799
Cl 0.5282 0.8469 0.2201
Cl 0.5355 0.4061 0.2263
Cl 0.6574 0.4127 0.5957
Cl 0.6919 0.9216 0.5799
Cl 0.7541 0.1642 0.0410
Cl 0.7658 0.6973 0.0217
Cl 0.8701 0.1836 0.3839
Cl 0.8729 0.4836 0.8081
Cl 0.8894 0.7185 0.3981
Cl 0.9090 0.9952 0.8316

Most intense lines, 2θ = 10–80°, most intense first:
d_spacing	two_theta	I_rel
4.815	18.4	100.0
4.294	20.7	62.6
5.601	15.8	61.5
4.863	18.2	57.9
4.724	18.8	56.7
2.745	32.6	56.3
6.722	13.2	52.7
6.905	12.8	51.3
6.776	13.1	41.5
2.726	32.9	31.3

***

(4)
Computed powder XRD pattern of Tm3PCl3 for Cu Kα X-rays, from the GGA-PBE geometry in OQMD.
Lines closer than 0.1° are merged.

Atomic structure:
Cell lengths 7.9495, 7.9495, 6.4398 Å; angles 90.00, 90.00, 120.00 degrees
Element x y z (fractional)
Tm 0.0000 0.0000 0.0000
Tm 0.0000 0.5000 0.5000
Tm 0.3333 0.6667 0.8838
Tm 0.5000 0.0000 0.5000
Tm 0.5000 0.5000 0.5000
Tm 0.6667 0.3333 0.1162
P 0.3333 0.6667 0.2836
P 0.6667 0.3333 0.7164
Cl 0.1489 0.2978 0.7351
Cl 0.1489 0.8511 0.7351
Cl 0.2978 0.1489 0.2649
Cl 0.7022 0.8511 0.7351
Cl 0.8511 0.1489 0.2649
Cl 0.8511 0.7022 0.2649

Most intense lines, 2θ = 10–80°, most intense first:
d_spacing	two_theta	I_rel
3.382	26.3	100.0
2.351	38.3	81.1
4.703	18.9	53.2
1.987	45.6	52.5
3.036	29.4	45.0
2.162	41.8	30.3
3.975	22.4	24.8
2.413	37.3	24.3
3.442	25.9	20.7
1.518	61.0	19.9

***

(5)
Computed powder XRD pattern of Zn3PCl3 for Cu Kα X-rays, from the GGA-PBE geometry in OQMD.
Lines closer than 0.1° are merged.

Atomic structure:
Cell lengths 7.2272, 7.2272, 6.7023 Å; angles 90.00, 90.00, 120.00 degrees
Element x y z (fractional)
Zn 0.0000 0.0000 0.0000
Zn 0.0000 0.5000 0.5000
Zn 0.3333 0.6667 0.0090
Zn 0.5000 0.0000 0.5000
Zn 0.5000 0.5000 0.5000
Zn 0.6667 0.3333 0.9910
P 0.3333 0.6667 0.3548
P 0.6667 0.3333 0.6452
Cl 0.1707 0.3413 0.8083
Cl 0.1707 0.8293 0.8083
Cl 0.3413 0.1707 0.1917
Cl 0.6587 0.8293 0.8083
Cl 0.8293 0.1707 0.1917
Cl 0.8293 0.6587 0.1917

Most intense lines, 2θ = 10–80°, most intense first:
d_spacing	two_theta	I_rel
2.836	31.6	100.0
3.181	28.1	63.0
1.807	50.5	57.5
2.287	39.4	49.9
1.900	47.9	45.7
4.574	19.4	34.6
1.524	60.8	34.3
2.457	36.6	20.3
6.259	14.2	17.4
1.992	45.5	17.1

***

(6)
Computed powder XRD pattern of Pa2S4Cl for Cu Kα X-rays, from the GGA-PBE geometry in OQMD.
Lines closer than 0.1° are merged.

Atomic structure:
Cell lengths 8.4492, 8.4492, 8.4492 Å; angles 125.34, 76.17, 131.34 degrees
Element x y z (fractional)
Pa 0.0000 0.0000 0.0000
Pa 0.0000 0.5000 0.5000
Pa 0.3918 0.3389 0.5530
Pa 0.7859 0.8389 0.4470
S 0.0697 0.3500 0.6803
S 0.0697 0.8894 0.2198
S 0.1215 0.9783 0.6432
S 0.3351 0.4783 0.3568
S 0.6697 0.3894 0.3197
S 0.6697 0.8500 0.7802
S 0.7219 0.4741 0.7478
S 0.7263 0.9741 0.2522
Cl 0.0670 0.4332 0.1337
Cl 0.2995 0.9332 0.8663

Most intense lines, 2θ = 10–80°, most intense first:
d_spacing	two_theta	I_rel
6.702	13.2	100.0
3.284	27.2	68.3
6.168	14.4	64.6
3.740	23.8	62.6
2.092	43.2	60.1
2.414	37.2	56.0
3.351	26.6	38.0
3.088	28.9	31.9
2.591	34.6	30.3
4.087	21.7	30.0

***

(7)
Computed powder XRD pattern of TbPb2Cl8 for Cu Kα X-rays, from the GGA-PBE geometry in OQMD.
Lines closer than 0.1° are merged.

Atomic structure:
Cell lengths 8.4915, 8.4915, 8.4915 Å; angles 134.61, 134.61, 66.14 degrees
Element x y z (fractional)
Tb 0.0000 0.0000 0.0000
Pb 0.3253 0.3253 0.0000
Pb 0.6747 0.6747 0.0000
Cl 0.0147 0.3870 0.0633
Cl 0.0486 0.9853 0.3723
Cl 0.1568 0.6204 0.8878
Cl 0.3237 0.9514 0.9367
Cl 0.3796 0.2674 0.5364
Cl 0.6130 0.6763 0.6277
Cl 0.7310 0.8432 0.4636
Cl 0.7326 0.2690 0.1122

Most intense lines, 2θ = 10–80°, most intense first:
d_spacing	two_theta	I_rel
4.633	19.2	100.0
2.493	36.0	98.9
3.843	23.1	98.5
1.984	45.7	31.6
2.111	42.8	27.3
2.317	38.9	25.1
2.072	43.7	24.9
1.697	54.0	19.5
3.276	27.2	17.3
1.263	75.2	16.8

***

(8)
Computed powder XRD pattern of Rb2PdCl6 for Cu Kα X-rays, from the GGA-PBE geometry in OQMD.
Lines closer than 0.1° are merged.

Atomic structure:
Cell lengths 7.0945, 7.0945, 7.0987 Å; angles 119.93, 119.93, 60.11 degrees
Element x y z (fractional)
Rb 0.2484 0.2484 0.2491
Rb 0.7516 0.7516 0.7509
Pd 0.5000 0.5000 0.0000
Cl 0.2603 0.7280 0.2284
Cl 0.2659 0.2659 0.7549
Cl 0.2720 0.7397 0.7716
Cl 0.7280 0.2603 0.2284
Cl 0.7341 0.7341 0.2451
Cl 0.7397 0.2720 0.7716

Most intense lines, 2θ = 10–80°, most intense first:
d_spacing	two_theta	I_rel
2.510	35.8	100.0
3.550	25.1	94.7
5.797	15.3	81.1
2.899	30.8	65.0
1.775	51.5	63.5
2.050	44.2	41.0
3.028	29.5	29.5
1.588	58.1	21.1
1.932	47.0	18.9
1.514	61.2	18.4

***

(9)
Computed powder XRD pattern of RbTlPdCl4 for Cu Kα X-rays, from the GGA-PBE geometry in OQMD.
Lines closer than 0.1° are merged.

Atomic structure:
Cell lengths 4.3280, 7.1756, 7.2411 Å; angles 90.00, 90.00, 90.00 degrees
Element x y z (fractional)
Rb 0.0000 0.0000 0.0000
Tl 0.0000 0.5000 0.5000
Pd 0.5000 0.0000 0.5000
Cl 0.5000 0.2305 0.2733
Cl 0.5000 0.2305 0.7267
Cl 0.5000 0.7695 0.2733
Cl 0.5000 0.7695 0.7267

Most intense lines, 2θ = 10–80°, most intense first:
d_spacing	two_theta	I_rel
3.299	27.0	100.0
7.241	12.2	58.4
2.548	35.2	43.9
5.097	17.4	26.7
3.706	24.0	24.4
2.023	44.8	24.2
2.011	45.1	23.8
1.650	55.7	22.4
2.777	32.2	20.0
2.762	32.4	19.9

***

(10)
Computed powder XRD pattern of PdSCl for Cu Kα X-rays, from the GGA-PBE geometry in OQMD.
Lines closer than 0.1° are merged.

Atomic structure:
Cell lengths 8.9768, 9.3462, 16.3856 Å; angles 90.00, 121.44, 90.00 degrees
Element x y z (fractional)
Pd 0.0451 0.1976 0.0186
Pd 0.0451 0.3024 0.5186
Pd 0.0809 0.0975 0.6838
Pd 0.0809 0.4025 0.1838
Pd 0.2810 0.0810 0.4779
Pd 0.2810 0.4190 0.9779
Pd 0.3186 0.6230 0.1436
Pd 0.3186 0.8770 0.6436
Pd 0.6814 0.1230 0.3564
Pd 0.6814 0.3770 0.8564
Pd 0.7190 0.5810 0.0221
Pd 0.7190 0.9190 0.5221
Pd 0.9191 0.5975 0.8162
Pd 0.9191 0.9025 0.3162
Pd 0.9549 0.6976 0.4814
Pd 0.9549 0.8024 0.9814
S 0.1150 0.7293 0.4104
S 0.1150 0.7707 0.9104
S 0.2719 0.2424 0.6689
S 0.2719 0.2576 0.1689
S 0.3439 0.6583 0.0126
S 0.3439 0.8417 0.5126
S 0.4255 0.0992 0.6415
S 0.4255 0.4008 0.1415
S 0.5745 0.5992 0.8585
S 0.5745 0.9008 0.3585
S 0.6561 0.1583 0.4874
S 0.6561 0.3417 0.9874
S 0.7281 0.7424 0.8311
S 0.7281 0.7576 0.3311
S 0.8850 0.2293 0.0896
S 0.8850 0.2707 0.5896
Cl 0.1395 0.0372 0.3101
Cl 0.1395 0.4628 0.8101
Cl 0.2082 0.6415 0.6318
Cl 0.2082 0.8585 0.1318
Cl 0.2350 0.1667 0.9583
Cl 0.2350 0.3333 0.4583
Cl 0.3088 0.5661 0.2830
Cl 0.3088 0.9339 0.7830
Cl 0.6912 0.0661 0.2170
Cl 0.6912 0.4339 0.7170
Cl 0.7650 0.6667 0.5417
Cl 0.7650 0.8333 0.0417
Cl 0.7918 0.1415 0.8682
Cl 0.7918 0.3585 0.3682
Cl 0.8605 0.5372 0.1899
Cl 0.8605 0.9628 0.6899

Most intense lines, 2θ = 10–80°, most intense first:
d_spacing	two_theta	I_rel
7.770	11.4	100.0
7.448	11.9	46.8
2.481	36.2	38.9
2.558	35.1	37.8
4.803	18.5	35.9
7.659	11.6	34.7
3.825	23.3	27.6
4.697	18.9	25.7
2.329	38.7	25.1
3.958	22.5	24.7